For BaNdNp2O8, a structure optimized by DFT (GGA-PBE) gives the computed powder XRD pattern in this record (Cu Kα, 1.54184 Å).
Peak positions follow from Bragg's law for the DFT cell and can differ from measured ones.

The 12 most intense peaks (10 to 80 degrees two-theta), most intense first:
d/Å	2theta	I_rel
3.225	27.66	100
1.964	46.23	32
1.699	53.99	32
2.826	31.66	24
1.998	45.39	17
1.657	55.46	15
1.275	74.38	13
2.731	32.79	11
5.020	17.67	11
1.613	57.12	11
1.294	73.13	7
1.413	66.14	5

abc: 6.768 6.768 6.768
angles: 130.65 130.65 72.38
Atoms (fractional coordinates):
Ba  0.000  0.000  0.000
Nd  0.250  0.750  0.500
Np  0.500  0.500  0.000
Np  0.750  0.250  0.500
O  0.090  0.141  0.524
O  0.180  0.609  0.014
O  0.391  0.404  0.570
O  0.434  0.910  0.051
O  0.596  0.166  0.986
O  0.618  0.566  0.476
O  0.834  0.820  0.430
O  0.859  0.382  0.949